This entry pairs a crystal structure of K7Na with its computed powder diffraction line list. Radiation: a wavelength of 1.5418 Å. Structure: a GGA-PBE-relaxed structure.

Principal peaks in the range 15° ≤ 2θ ≤ 90°, by intensity:
| d [Å] | Rel. int. |
| --- | --- |
| 3.729 | 100 |
| 3.229 | 51 |
| 1.947 | 41 |
| 2.284 | 35 |
| 1.482 | 15 |
| 1.444 | 14 |
| 1.865 | 12 |
| 1.243 | 11 |

abc: 9.134 9.134 9.134
angles: 60.00 60.00 60.00
Positions (direct):
1 K 0.000 0.000 0.000
2 K 0.000 0.000 0.500
3 K 0.000 0.500 0.000
4 K 0.000 0.500 0.500
5 K 0.500 0.000 0.000
6 K 0.500 0.000 0.500
7 K 0.500 0.500 0.000
8 Na 0.500 0.500 0.500